Starting from a crystal structure in Alexandria, relaxed with GGA-PBE, the powder XRD pattern of SmCu2H8Rh3 was computed for copper Kα.
Intensities are scaled so that the largest is 100.

Largest 10 diffraction maxima, by intensity, 5 to 70 degrees two-theta:
(hkl)  d/Å  Position (°2θ)  I/Imax
2 0 2  2.342  38.4  100
1 1 3  2.418  37.2  86
0 2 1  2.459  36.5  70
1 0 4  2.764  32.4  39
2 2 0  1.445  64.5  29
2 0 8  1.382  67.8  24
1 2 5  1.540  60.1  23
1 1 0  2.889  31.0  23
0 3 3  1.561  59.2  22
2 1 4  1.643  56.0  16

Structure:
Lattice parameters (Å, degrees): 5.7781 5.7781 13.2600 90.00 90.00 120.00
Space group R3m (No. 160, hexagonal axes)
Unique sites:
Sm 0.0000 0.0000 0.0000 x3
Cu 0.0000 0.0000 0.3859 x3
Cu 0.0000 0.0000 0.7520 x3
H 0.0000 0.0000 0.1657 x3
H 0.0000 0.0000 0.6208 x3
H 0.0162 0.5081 0.1421 x9
H 0.2093 0.4186 0.9493 x9
Rh 0.1697 0.3393 0.2142 x9